Record 1
Theoretical PXRD pattern of MgSbRu for CuKα, from a DFT-relaxed cell (PBE, Alexandria).

Cell and atoms:
a = 9.6329 Å, b = 3.3576 Å, c = 7.5890 Å
α = 90.00°, β = 112.48°, γ = 90.00°
Space group Cm (No. 8)
Inequivalent atoms, fractional coordinates:
Mg (0.0000, 0.0000, 0.0000) [2 per cell]
Mg (0.2403, 0.0000, 0.5363) [2 per cell]
Sb (0.0614, 0.5000, 0.6868) [2 per cell]
Sb (0.2816, 0.5000, 0.2166) [2 per cell]
Ru (0.0194, 0.5000, 0.3068) [2 per cell]
Ru (0.2574, 0.0000, 0.9233) [2 per cell]

Peak list (8 most intense, 2θ = 5–70°, low angle first)
d = 4.646 Å, 2θ = 19.10°, rel. 100, hkl 2 0 -1; d = 3.142 Å, 2θ = 28.41°, rel. 44, hkl 1 1 0; d = 2.733 Å, 2θ = 32.77°, rel. 68, hkl 1 1 1; d = 2.514 Å, 2θ = 35.71°, rel. 42, hkl 1 1 -2; d = 2.500 Å, 2θ = 35.92°, rel. 44, hkl 2 0 -3; d = 2.320 Å, 2θ = 38.82°, rel. 69, hkl 3 1 -1; d = 2.224 Å, 2θ = 40.56°, rel. 84, hkl 4 0 0; d = 2.197 Å, 2θ = 41.09°, rel. 77, hkl 1 1 2



Record 2
Theoretical PXRD pattern of Tc2PbF8 for CuKα, from a DFT-relaxed cell (PBE, Alexandria).

Cell and atoms:
a = 4.5943 Å, b = 6.4799 Å, c = 6.5178 Å
α = 72.02°, β = 85.30°, γ = 84.66°
Space group P-1 (No. 2)
Inequivalent atoms, fractional coordinates:
Tc (0.2299, 0.3964, 0.3952) [2 per cell]
Pb (0.5000, 0.0000, 0.0000) [1 per cell]
F (0.2056, 0.2114, 0.2066) [2 per cell]
F (0.2374, 0.6601, 0.1427) [2 per cell]
F (0.2467, 0.1393, 0.6537) [2 per cell]
F (0.2892, 0.5935, 0.5956) [2 per cell]

Peak list (8 most intense, 2θ = 5–70°, low angle first)
d = 5.226 Å, 2θ = 16.97°, rel. 84, hkl 0 1 1; d = 3.821 Å, 2θ = 23.28°, rel. 100, hkl 0 1 -1; d = 3.799 Å, 2θ = 23.42°, rel. 72, hkl 1 1 0; d = 3.778 Å, 2θ = 23.55°, rel. 71, hkl 1 0 1; d = 3.268 Å, 2θ = 27.29°, rel. 74, hkl -1 1 1; d = 2.733 Å, 2θ = 32.76°, rel. 52, hkl 1 1 2; d = 2.193 Å, 2θ = 41.16°, rel. 32, hkl 1 -1 2; d = 2.020 Å, 2θ = 44.87°, rel. 29, hkl 0 2 3



Record 3
Theoretical PXRD pattern of Ba2YTlSn2O7 for CuKα, from a DFT-relaxed cell (PBE, Alexandria).

Cell and atoms:
a = 4.2321 Å, b = 4.2321 Å, c = 13.1781 Å
α = 90.00°, β = 90.00°, γ = 90.00°
Space group P4/mmm (No. 123)
Inequivalent atoms, fractional coordinates:
Ba (0.0000, 0.0000, 0.1865) [2 per cell]
Y (0.0000, 0.0000, 0.5000) [1 per cell]
Tl (0.5000, 0.5000, 0.0000) [1 per cell]
Sn (0.5000, 0.5000, 0.3649) [2 per cell]
O (0.0000, 0.0000, 0.0000) [1 per cell]
O (0.0000, 0.5000, 0.3927) [4 per cell]
O (0.5000, 0.5000, 0.2091) [2 per cell]

Peak list (8 most intense, 2θ = 5–70°, low angle first)
d = 3.561 Å, 2θ = 25.01°, rel. 14, hkl 1 0 2; d = 3.048 Å, 2θ = 29.30°, rel. 100, hkl 1 0 3; d = 2.993 Å, 2θ = 29.86°, rel. 60, hkl 1 1 0; d = 2.636 Å, 2θ = 34.02°, rel. 11, hkl 0 0 5; d = 2.116 Å, 2θ = 42.73°, rel. 31, hkl 2 0 0; d = 1.978 Å, 2θ = 45.88°, rel. 12, hkl 1 1 5; d = 1.771 Å, 2θ = 51.62°, rel. 17, hkl 1 1 6; d = 1.738 Å, 2θ = 52.66°, rel. 40, hkl 2 1 3